Record 1
This entry pairs a crystal structure of Lu2GaCu with its simulated powder XRD pattern. Radiation: λ = 1.5418 Å (Cu Kα). Structure: a structure optimized by DFT (PBE).
Neutral-atom scattering factors, no anomalous dispersion.

Largest 9 diffraction maxima, in order of falling intensity, 2θ from 10° to 90°:
- hkl 2 2 0, 36.8 deg, d 2.441, rel. 100
- hkl 4 2 2, 66.3 deg, d 1.409, rel. 35
- hkl 2 0 0, 25.8 deg, d 3.452, rel. 21
- hkl 4 0 0, 53.1 deg, d 1.726, rel. 17
- hkl 6 2 0, 89.9 deg, d 1.092, rel. 16
- hkl 4 4 0, 78.3 deg, d 1.220, rel. 11
- hkl 4 2 0, 59.9 deg, d 1.544, rel. 9
- hkl 2 2 2, 45.5 deg, d 1.993, rel. 6
- hkl 6 0 0, 84.1 deg, d 1.151, rel. 5

Cell and atoms:
a = 6.9040 Å, b = 6.9040 Å, c = 6.9040 Å
α = 90.00°, β = 90.00°, γ = 90.00°
Space group Fm-3m (No. 225)
Symmetry-distinct sites (fractional):
Lu 0.2500 0.2500 0.2500
Ga 0.0000 0.0000 0.0000
Cu 0.0000 0.0000 0.5000

=====

Record 2
This entry pairs a crystal structure of Lu2Ga3Cu with its simulated powder XRD pattern. Radiation: λ = 1.5418 Å (Cu Kα). Structure: a structure optimized by DFT (PBE).
Neutral-atom scattering factors, no anomalous dispersion.

Largest 10 diffraction maxima, in order of falling intensity, 2θ from 10° to 90°:
- hkl 1 0 2, 35.0 deg, d 2.561, rel. 100
- hkl 1 1 0, 41.7 deg, d 2.166, rel. 58
- hkl 2 1 2, 71.8 deg, d 1.314, rel. 28
- hkl 0 2 2, 55.6 deg, d 1.654, rel. 27
- hkl 1 0 0, 23.7 deg, d 3.752, rel. 25
- hkl 1 1 4, 68.9 deg, d 1.362, rel. 14
- hkl 3 0 0, 76.1 deg, d 1.251, rel. 10
- hkl 0 1 3, 45.8 deg, d 1.983, rel. 9
- hkl 0 1 4, 58.1 deg, d 1.587, rel. 8
- hkl 0 0 4, 52.2 deg, d 1.752, rel. 5

Cell and atoms:
a = 4.3320 Å, b = 4.3320 Å, c = 7.0074 Å
α = 90.00°, β = 90.00°, γ = 120.00°
Space group P3m1 (No. 156)
Symmetry-distinct sites (fractional):
Lu 0.0000 0.0000 0.0000
Lu 0.0000 0.0000 0.4694
Ga 0.3333 0.6667 0.2140
Ga 0.3333 0.6667 0.7865
Ga 0.6667 0.3333 0.6874
Cu 0.6667 0.3333 0.2772

=====

Record 3
This entry pairs a crystal structure of Lu3Ga8Cu3 with its simulated powder XRD pattern. Radiation: λ = 1.5418 Å (Cu Kα). Structure: a structure optimized by DFT (PBE).
Neutral-atom scattering factors, no anomalous dispersion.

Largest 10 diffraction maxima, in order of falling intensity, 2θ from 10° to 90°:
- hkl 1 2 3, 36.0 deg, d 2.493, rel. 100
- hkl 2 0 0, 42.8 deg, d 2.112, rel. 37
- hkl 1 3 0, 35.4 deg, d 2.532, rel. 34
- hkl 1 0 3, 30.5 deg, d 2.928, rel. 19
- hkl 1 1 4, 37.6 deg, d 2.391, rel. 15
- hkl 0 0 6, 44.6 deg, d 2.031, rel. 13
- hkl 1 3 2, 38.5 deg, d 2.338, rel. 13
- hkl 0 2 4, 35.0 deg, d 2.563, rel. 11
- hkl 2 3 3, 57.1 deg, d 1.612, rel. 11
- hkl 1 4 7, 70.8 deg, d 1.332, rel. 11

Cell and atoms:
a = 4.2242 Å, b = 9.4921 Å, c = 12.1832 Å
α = 90.00°, β = 90.00°, γ = 90.00°
Space group Immm (No. 71)
Symmetry-distinct sites (fractional):
Lu 0.0000 0.0000 0.0000
Lu 0.0000 0.0000 0.3094
Ga 0.0000 0.2884 0.1314
Ga 0.0000 0.3681 0.3431
Cu 0.0000 0.1968 0.5000
Cu 0.0000 0.5000 0.0000

=====

Record 4
This entry pairs a crystal structure of LuGaCuO4 with its simulated powder XRD pattern. Radiation: λ = 1.5418 Å (Cu Kα). Structure: a structure optimized by DFT (PBE).
Neutral-atom scattering factors, no anomalous dispersion.

Largest 10 diffraction maxima, in order of falling intensity, 2θ from 10° to 90°:
- hkl 1 0 1, 29.8 deg, d 2.998, rel. 100
- hkl 1 0 4, 33.2 deg, d 2.700, rel. 88
- hkl 0 1 5, 35.1 deg, d 2.560, rel. 84
- hkl 1 1 0, 52.5 deg, d 1.744, rel. 58
- hkl 1 0 10, 48.3 deg, d 1.883, rel. 46
- hkl 0 0 9, 33.5 deg, d 2.676, rel. 42
- hkl 0 0 3, 11.0 deg, d 8.027, rel. 40
- hkl 1 1 9, 63.7 deg, d 1.461, rel. 39
- hkl 0 0 6, 22.1 deg, d 4.014, rel. 35
- hkl 0 1 14, 62.1 deg, d 1.495, rel. 29

Cell and atoms:
a = 3.4888 Å, b = 3.4888 Å, c = 24.0824 Å
α = 90.00°, β = 90.00°, γ = 120.00°
Space group R3m (No. 160, hexagonal axes)
Symmetry-distinct sites (fractional):
Lu 0.0000 0.0000 0.0000
Ga 0.0000 0.0000 0.7902
Cu 0.0000 0.0000 0.2150
O 0.0000 0.0000 0.1277
O 0.0000 0.0000 0.2963
O 0.0000 0.0000 0.7119
O 0.0000 0.0000 0.8705

=====

Record 5
This entry pairs a crystal structure of MgGaCu with its simulated powder XRD pattern. Radiation: λ = 1.5418 Å (Cu Kα). Structure: a structure optimized by DFT (PBE).
Neutral-atom scattering factors, no anomalous dispersion.

Largest 10 diffraction maxima, in order of falling intensity, 2θ from 10° to 90°:
- hkl 1 2 2, 41.8 deg, d 2.163, rel. 100
- hkl 2 1 3, 41.4 deg, d 2.183, rel. 79
- hkl 0 1 1, 19.8 deg, d 4.478, rel. 50
- hkl 4 0 0, 43.3 deg, d 2.092, rel. 44
- hkl 1 0 4, 42.4 deg, d 2.133, rel. 44
- hkl 2 2 2, 46.0 deg, d 1.974, rel. 42
- hkl 2 2 0, 40.9 deg, d 2.207, rel. 42
- hkl 2 0 0, 21.2 deg, d 4.183, rel. 41
- hkl 3 1 1, 38.0 deg, d 2.367, rel. 33
- hkl 1 1 1, 22.5 deg, d 3.948, rel. 27

Cell and atoms:
a = 8.3669 Å, b = 5.1970 Å, c = 8.8241 Å
α = 90.00°, β = 90.00°, γ = 90.00°
Space group Amm2 (No. 38)
Symmetry-distinct sites (fractional):
Mg 0.1821 0.0000 0.0000
Mg 0.3009 0.0000 0.6684
Ga 0.0000 0.0000 0.4967
Ga 0.5000 0.0000 0.1645
Ga 0.5000 0.2491 0.9175
Cu 0.0000 0.2476 0.7459
Cu 0.2511 0.0000 0.3323

=====

Record 6
This entry pairs a crystal structure of Mg6GaCu with its simulated powder XRD pattern. Radiation: λ = 1.5418 Å (Cu Kα). Structure: a structure optimized by DFT (PBE).
Neutral-atom scattering factors, no anomalous dispersion.

Largest 10 diffraction maxima, in order of falling intensity, 2θ from 10° to 90°:
- hkl 1 2 2, 38.7 deg, d 2.329, rel. 100
- hkl 1 0 4, 38.5 deg, d 2.336, rel. 48
- hkl 0 1 1, 16.7 deg, d 5.297, rel. 47
- hkl 2 0 0, 36.6 deg, d 2.452, rel. 38
- hkl 3 2 2, 67.3 deg, d 1.391, rel. 27
- hkl 0 2 2, 33.9 deg, d 2.646, rel. 23
- hkl 1 0 2, 24.7 deg, d 3.601, rel. 22
- hkl 2 0 4, 50.7 deg, d 1.800, rel. 22
- hkl 2 2 6, 72.8 deg, d 1.299, rel. 18
- hkl 1 1 3, 34.5 deg, d 2.598, rel. 17

Cell and atoms:
a = 4.9040 Å, b = 6.1037 Å, c = 10.6279 Å
α = 90.00°, β = 90.00°, γ = 90.00°
Space group Amm2 (No. 38)
Symmetry-distinct sites (fractional):
Mg 0.0000 0.0000 0.0000
Mg 0.0000 0.2411 0.7438
Mg 0.5000 0.0000 0.1655
Mg 0.5000 0.2465 0.4187
Ga 0.0000 0.0000 0.5019
Cu 0.5000 0.0000 0.6674

=====

Record 7
This entry pairs a crystal structure of Mg6GaCu with its simulated powder XRD pattern. Radiation: λ = 1.5418 Å (Cu Kα). Structure: a structure optimized by DFT (PBE).
Neutral-atom scattering factors, no anomalous dispersion.

Largest 10 diffraction maxima, in order of falling intensity, 2θ from 10° to 90°:
- hkl 1 2 2, 38.5 deg, d 2.341, rel. 100
- hkl 1 0 4, 39.3 deg, d 2.295, rel. 47
- hkl 2 0 0, 37.2 deg, d 2.419, rel. 36
- hkl 0 2 2, 33.5 deg, d 2.675, rel. 30
- hkl 0 0 2, 17.0 deg, d 5.215, rel. 25
- hkl 1 0 0, 18.3 deg, d 4.838, rel. 19
- hkl 2 2 2, 50.9 deg, d 1.794, rel. 18
- hkl 3 2 2, 67.9 deg, d 1.381, rel. 17
- hkl 2 2 6, 73.7 deg, d 1.286, rel. 17
- hkl 1 0 2, 25.1 deg, d 3.547, rel. 17

Cell and atoms:
a = 4.8377 Å, b = 6.2315 Å, c = 10.4290 Å
α = 90.00°, β = 90.00°, γ = 90.00°
Space group Amm2 (No. 38)
Symmetry-distinct sites (fractional):
Mg 0.0000 0.0000 0.0000
Mg 0.0000 0.0000 0.4970
Mg 0.0000 0.2451 0.2402
Mg 0.5000 0.2504 0.4124
Ga 0.5000 0.0000 0.6607
Cu 0.5000 0.0000 0.1608

=====

Record 8
This entry pairs a crystal structure of MgGa4Cu2O8 with its simulated powder XRD pattern. Radiation: λ = 1.5418 Å (Cu Kα). Structure: a structure optimized by DFT (PBE).
Neutral-atom scattering factors, no anomalous dispersion.

Largest 10 diffraction maxima, in order of falling intensity, 2θ from 10° to 90°:
- hkl 1 0 3, 30.1 deg, d 2.970, rel. 100
- hkl 2 1 1, 35.4 deg, d 2.538, rel. 95
- hkl 1 2 1, 35.1 deg, d 2.556, rel. 86
- hkl 0 2 4, 46.6 deg, d 1.947, rel. 41
- hkl 2 2 4, 56.8 deg, d 1.620, rel. 39
- hkl 2 1 5, 56.7 deg, d 1.623, rel. 37
- hkl 1 1 2, 27.5 deg, d 3.239, rel. 34
- hkl 0 1 3, 30.0 deg, d 2.980, rel. 32
- hkl 2 3 1, 57.1 deg, d 1.614, rel. 23
- hkl 0 0 2, 17.1 deg, d 5.175, rel. 20

Cell and atoms:
a = 5.8346 Å, b = 5.9152 Å, c = 10.3495 Å
α = 90.00°, β = 90.00°, γ = 90.00°
Space group Imm2 (No. 44)
Symmetry-distinct sites (fractional):
Mg 0.0000 0.0000 0.0000
Ga 0.0000 0.0000 0.2477
Ga 0.0000 0.5000 0.9618
Ga 0.2423 0.5000 0.2692
Cu 0.0000 0.2685 0.5887
O 0.0000 0.2192 0.8571
O 0.0000 0.2877 0.3230
O 0.2450 0.0000 0.1262
O 0.2456 0.0000 0.5820

=====

Record 9
This entry pairs a crystal structure of MgGa4Cu2O8 with its simulated powder XRD pattern. Radiation: λ = 1.5418 Å (Cu Kα). Structure: a structure optimized by DFT (PBE).
Neutral-atom scattering factors, no anomalous dispersion.

Largest 10 diffraction maxima, in order of falling intensity, 2θ from 10° to 90°:
- hkl 2 1 1, 32.5 deg, d 2.758, rel. 100
- hkl 1 1 2, 27.5 deg, d 3.239, rel. 94
- hkl 3 2 1, 51.9 deg, d 1.761, rel. 66
- hkl 2 2 4, 56.8 deg, d 1.621, rel. 59
- hkl 1 0 1, 16.8 deg, d 5.289, rel. 53
- hkl 1 0 3, 32.3 deg, d 2.769, rel. 50
- hkl 4 0 0, 57.0 deg, d 1.616, rel. 29
- hkl 3 1 2, 48.7 deg, d 1.868, rel. 25
- hkl 1 0 5, 51.7 deg, d 1.769, rel. 25
- hkl 2 0 2, 33.9 deg, d 2.644, rel. 23

Cell and atoms:
a = 6.4653 Å, b = 6.4653 Å, c = 9.1939 Å
α = 90.00°, β = 90.00°, γ = 90.00°
Space group I-4m2 (No. 119)
Symmetry-distinct sites (fractional):
Mg 0.0000 0.0000 0.0000
Ga 0.0000 0.2847 0.1432
Cu 0.0000 0.0000 0.5000
Cu 0.0000 0.5000 0.7500
O 0.0000 0.2338 0.8830
O 0.0000 0.2833 0.3578

=====

Record 10
This entry pairs a crystal structure of MgGa4Cu2O8 with its simulated powder XRD pattern. Radiation: λ = 1.5418 Å (Cu Kα). Structure: a structure optimized by DFT (PBE).
Neutral-atom scattering factors, no anomalous dispersion.

Largest 10 diffraction maxima, in order of falling intensity, 2θ from 10° to 90°:
- hkl 2 2 -2, 42.4 deg, d 2.133, rel. 100
- hkl 0 2 1, 34.3 deg, d 2.612, rel. 88
- hkl 3 1 0, 33.7 deg, d 2.660, rel. 87
- hkl 3 1 -2, 35.6 deg, d 2.522, rel. 86
- hkl 0 0 2, 34.1 deg, d 2.629, rel. 75
- hkl 2 2 -1, 35.2 deg, d 2.547, rel. 71
- hkl 2 2 2, 57.7 deg, d 1.598, rel. 67
- hkl 6 2 -2, 62.5 deg, d 1.487, rel. 60
- hkl 3 1 -1, 30.0 deg, d 2.974, rel. 52
- hkl 4 0 -1, 35.0 deg, d 2.562, rel. 51

Cell and atoms:
a = 10.2888 Å, b = 6.0199 Å, c = 6.0792 Å
α = 90.00°, β = 120.13°, γ = 90.00°
Space group C2/m (No. 12)
Symmetry-distinct sites (fractional):
Mg 0.0000 0.0000 0.0000
Ga 0.1295 0.0000 0.4595
Ga 0.2500 0.2500 0.0000
Cu 0.0000 0.5000 0.0000
Cu 0.0000 0.5000 0.5000
O 0.0123 0.2312 0.7505
O 0.2267 0.0000 0.2164
O 0.2286 0.5000 0.1941

=====

Record 11
This entry pairs a crystal structure of MgGa4Cu2O8 with its simulated powder XRD pattern. Radiation: λ = 1.5418 Å (Cu Kα). Structure: a structure optimized by DFT (PBE).
Neutral-atom scattering factors, no anomalous dispersion.

Largest 10 diffraction maxima, in order of falling intensity, 2θ from 10° to 90°:
- hkl 0 0 2, 33.8 deg, d 2.652, rel. 100
- hkl 0 2 1, 35.3 deg, d 2.545, rel. 95
- hkl 2 2 -1, 35.9 deg, d 2.501, rel. 92
- hkl 3 1 -2, 34.8 deg, d 2.580, rel. 91
- hkl 3 1 0, 34.0 deg, d 2.638, rel. 89
- hkl 2 2 -2, 42.5 deg, d 2.126, rel. 89
- hkl 6 2 -2, 62.0 deg, d 1.498, rel. 79
- hkl 3 1 -1, 29.8 deg, d 2.995, rel. 68
- hkl 4 0 0, 40.6 deg, d 2.221, rel. 67
- hkl 2 2 1, 45.4 deg, d 1.998, rel. 52

Cell and atoms:
a = 10.4980 Å, b = 5.8009 Å, c = 6.2681 Å
α = 90.00°, β = 122.19°, γ = 90.00°
Space group C2/m (No. 12)
Symmetry-distinct sites (fractional):
Mg 0.0000 0.0000 0.0000
Ga 0.0000 0.5000 0.0000
Ga 0.0000 0.5000 0.5000
Ga 0.1735 0.0000 0.4773
Cu 0.2500 0.2500 0.0000
O 0.0213 0.2453 0.2643
O 0.2188 0.5000 0.1751
O 0.2222 0.5000 0.6930

=====

Record 12
This entry pairs a crystal structure of MgGa4Cu2O8 with its simulated powder XRD pattern. Radiation: λ = 1.5418 Å (Cu Kα). Structure: a structure optimized by DFT (PBE).
Neutral-atom scattering factors, no anomalous dispersion.

Largest 10 diffraction maxima, in order of falling intensity, 2θ from 10° to 90°:
- hkl 2 1 1, 34.7 deg, d 2.585, rel. 100
- hkl 2 2 2, 42.0 deg, d 2.152, rel. 55
- hkl 2 0 -1, 35.3 deg, d 2.545, rel. 46
- hkl 4 2 0, 62.4 deg, d 1.489, rel. 45
- hkl 2 1 0, 30.0 deg, d 2.978, rel. 34
- hkl 0 0 2, 34.5 deg, d 2.602, rel. 30
- hkl 0 2 4, 59.4 deg, d 1.556, rel. 29
- hkl 0 3 1, 56.4 deg, d 1.633, rel. 24
- hkl 1 -1 1, 46.3 deg, d 1.960, rel. 19
- hkl 2 2 3, 54.4 deg, d 1.688, rel. 17

Cell and atoms:
a = 5.9535 Å, b = 5.9567 Å, c = 6.2328 Å
α = 61.52°, β = 89.98°, γ = 60.03°
Space group P1 (No. 1)
Symmetry-distinct sites (fractional):
Mg 0.0000 0.0000 0.0000
Ga 0.4969 0.0000 0.5000
Ga 0.4983 0.4999 0.9999
Ga 0.4985 0.0000 0.0000
Ga 0.9982 0.5001 0.0002
Cu 0.1494 0.6894 0.4648
Cu 0.8370 0.3106 0.5352
O 0.2515 0.0239 0.2303
O 0.2518 0.4923 0.2309
O 0.2732 0.4499 0.8244
O 0.2757 0.9759 0.7698
O 0.7213 0.0235 0.2303
O 0.7234 0.5501 0.1756
O 0.7441 0.5077 0.7692
O 0.7450 0.9766 0.7697